Theoretical powder diffractogram
Compound: Ti3CdC
Radiation: Cu Kα (λ = 1.5418 Å)
Structure: a cell relaxed with PBE
Lines closer than 0.1° are merged.

Most intense lines, 10° ≤ 2θ ≤ 90°, most intense first:
| d/Å | 2θ/deg | I (rel.) | (hkl) |
| --- | --- | --- | --- |
| 2.424 | 37.1 | 100.0 | 3 1 1 |
| 2.258 | 39.9 | 78.9 | 5 1 -1 |
| 2.455 | 36.6 | 55.3 | 8 0 0 |
| 2.621 | 34.2 | 38.0 | 1 1 1 |
| 2.365 | 38.0 | 35.8 | 4 0 -2 |
| 2.184 | 41.3 | 28.7 | 4 0 2 |
| 2.537 | 35.4 | 26.8 | 2 0 -2 |
| 1.502 | 61.8 | 24.9 | 1 1 -3 |
| 4.909 | 18.1 | 23.2 | 4 0 0 |
| 1.982 | 45.8 | 17.4 | 7 1 -1 |
| 1.449 | 64.3 | 15.4 | 11 1 1 |
| 1.559 | 59.3 | 14.8 | 0 2 0 |

Cell and atoms:
```
data_Ti3CdC
_cell_length_a 19.731
_cell_length_b 3.118
_cell_length_c 5.142
_cell_angle_alpha 90.00
_cell_angle_beta 95.58
_cell_angle_gamma 90.00
_symmetry_space_group_name_H-M 'C 1 m 1'
_symmetry_Int_Tables_number 8
loop_
_symmetry_equiv_pos_as_xyz
'x,y,z'
'x,-y,z'
'x+1/2,y+1/2,z'
'x+1/2,-y+1/2,z'
loop_
_atom_site_label
_atom_site_fract_x
_atom_site_fract_y
_atom_site_fract_z
Ti1 0.000 0.000 0.000
Ti2 0.004 0.500 0.498
Ti3 0.118 0.500 0.188
Ti4 0.132 0.000 0.692
Ti5 0.245 0.000 0.091
Ti6 0.251 0.500 0.602
Cd1 0.373 0.500 0.296
Cd2 0.376 0.000 0.799
C1 0.061 0.000 0.352
C2 0.188 0.500 0.901
```